1.
This entry pairs a crystal structure of La3InGa with its theoretical powder diffraction line list. Radiation: a wavelength of 1.5418 Å. Structure: a crystal structure in Alexandria, relaxed with GGA-PBE.

Atomic structure:
Cell lengths 9.8237, 9.3148, 6.0691 Å; angles 76.14, 67.01, 36.86 degrees
Fractional positions:
La  0.1906  0.1906  0.8094
La  0.2020  0.6015  0.3985
La  0.3985  0.7980  0.2020
La  0.6015  0.2020  0.7980
La  0.7980  0.3985  0.6015
La  0.8094  0.8094  0.1906
In  0.1958  0.8042  0.8042
In  0.8042  0.1958  0.1958
Ga  0.2500  0.2500  0.2500
Ga  0.7500  0.7500  0.7500

Principal peaks in the range 2θ = 5–70°, most intense first:
d/Å, 2θ/deg, I_rel
2.769, 32.3, 100.0
2.905, 30.8, 72.8
2.955, 30.2, 67.7
2.455, 36.6, 66.9
2.790, 32.1, 60.6
2.414, 37.2, 41.4

***

2.
This entry pairs a crystal structure of La2InGa12 with its theoretical powder diffraction line list. Radiation: a wavelength of 1.5418 Å. Structure: a crystal structure in Alexandria, relaxed with GGA-PBE.

Atomic structure:
Cell lengths 6.0734, 6.0734, 17.4447 Å; angles 90.00, 90.00, 90.00 degrees
Fractional positions:
La  0.2500  0.7500  0.2234
La  0.2500  0.7500  0.7766
La  0.7500  0.2500  0.2234
La  0.7500  0.2500  0.7766
In  0.2500  0.7500  0.5000
In  0.7500  0.2500  0.5000
Ga  0.0025  0.5025  0.3861
Ga  0.0025  0.9975  0.6139
Ga  0.0630  0.5630  0.9339
Ga  0.0630  0.9370  0.0661
Ga  0.2500  0.2500  0.1498
Ga  0.2500  0.2500  0.2958
Ga  0.2500  0.2500  0.7042
Ga  0.2500  0.2500  0.8502
Ga  0.4370  0.5630  0.0661
Ga  0.4370  0.9370  0.9339
Ga  0.4975  0.5025  0.6139
Ga  0.4975  0.9975  0.3861
Ga  0.5025  0.0025  0.6139
Ga  0.5025  0.4975  0.3861
Ga  0.5630  0.0630  0.0661
Ga  0.5630  0.4370  0.9339
Ga  0.7500  0.7500  0.1498
Ga  0.7500  0.7500  0.2958
Ga  0.7500  0.7500  0.7042
Ga  0.7500  0.7500  0.8502
Ga  0.9370  0.0630  0.9339
Ga  0.9370  0.4370  0.0661
Ga  0.9975  0.0025  0.3861
Ga  0.9975  0.4975  0.6139

Principal peaks in the range 2θ = 5–70°, most intense first:
d/Å, 2θ/deg, I_rel
2.147, 42.1, 100.0
2.492, 36.0, 86.0
2.868, 31.2, 79.5
2.692, 33.3, 70.4
2.155, 41.9, 68.6
3.060, 29.2, 58.9

***

3.
This entry pairs a crystal structure of La6InGa2 with its theoretical powder diffraction line list. Radiation: a wavelength of 1.5418 Å. Structure: a crystal structure in Alexandria, relaxed with GGA-PBE.

Atomic structure:
Cell lengths 9.1198, 9.1198, 9.1198 Å; angles 111.87, 111.30, 105.32 degrees
Fractional positions:
La  0.0447  0.2453  0.7994
La  0.1816  0.2790  0.4605
La  0.1816  0.7210  0.9026
La  0.3250  0.0319  0.7069
La  0.3250  0.6181  0.2931
La  0.4459  0.2453  0.2006
La  0.5541  0.7547  0.7994
La  0.6750  0.3819  0.7069
La  0.6750  0.9681  0.2931
La  0.8184  0.2790  0.0974
La  0.8184  0.7210  0.5395
La  0.9553  0.7547  0.2006
In  0.0000  0.0000  0.0000
In  0.5000  0.5000  0.0000
Ga  0.1193  0.6193  0.5000
Ga  0.3537  0.0000  0.3537
Ga  0.6463  0.0000  0.6463
Ga  0.8807  0.3807  0.5000

Principal peaks in the range 2θ = 5–70°, most intense first:
d/Å, 2θ/deg, I_rel
3.032, 29.5, 100.0
2.760, 32.4, 59.2
2.803, 31.9, 49.0
2.871, 31.1, 41.5
2.554, 35.1, 29.9
1.673, 54.9, 25.3

***

Number 2 is which compound?
La2InGa12

***

What is the formula in the third record?
La6InGa2